Record 1
This entry pairs a crystal structure of DyCu3Se3 with its calculated powder X-ray diffraction pattern. Radiation: CuKα. Structure: DFT lattice parameters and positions (PBE).
Neutral-atom scattering factors, no anomalous dispersion.

```
data_DyCu3Se3
_cell_length_a 6.9954
_cell_length_b 6.9954
_cell_length_c 19.6842
_cell_angle_alpha 90.00
_cell_angle_beta 90.00
_cell_angle_gamma 120.00
_symmetry_space_group_name_H-M 'R -3'
_symmetry_Int_Tables_number 148
_symmetry_space_group_name_Hall '-R 3'
loop_
_atom_site_label
_atom_site_fract_x
_atom_site_fract_y
_atom_site_fract_z
Dy1 0.0000 0.0000 0.1662
Cu1 0.0032 0.3572 0.6239
Se1 0.0019 0.3204 0.4184
```

Largest 12 diffraction maxima, low angle first, 10° ≤ 2θ ≤ 90°:
2θ/deg	d (Å)	I (rel.)	(hkl)
15.3	5.790	26.4	1 0 1
17.2	5.159	15.6	0 1 2
28.9	3.087	100.0	1 1 3
37.6	2.393	100.0	1 1 6
44.9	2.019	89.7	3 0 0
49.1	1.854	44.0	2 -1 9
54.3	1.690	16.4	4 -2 3
59.9	1.543	25.3	4 -2 6
62.6	1.484	19.2	0 3 9
68.7	1.366	14.8	2 2 9
77.9	1.226	20.7	1 4 6
85.9	1.131	15.3	5 -1 9



Record 2
This entry pairs a crystal structure of Ga2P3H8N3O12 with its calculated powder X-ray diffraction pattern. Radiation: CuKα. Structure: DFT lattice parameters and positions (PBE).
Neutral-atom scattering factors, no anomalous dispersion.

```
data_Ga2P3H8N3O12
_cell_length_a 13.683
_cell_length_b 10.484
_cell_length_c 9.155
_cell_angle_alpha 90.00
_cell_angle_beta 111.43
_cell_angle_gamma 90.00
_symmetry_space_group_name_H-M 'C 1 2/c 1'
_symmetry_Int_Tables_number 15
_symmetry_space_group_name_Hall '-C 2yc'
loop_
_atom_site_label
_atom_site_fract_x
_atom_site_fract_y
_atom_site_fract_z
Ga1 0.168 0.078 0.082
P1 0.000 0.008 0.250
P2 0.208 0.372 0.162
H1 0.035 0.326 0.438
H2 0.116 0.249 0.367
H3 0.143 0.246 0.561
H4 0.157 0.385 0.475
N1 0.000 0.373 0.750
N2 0.113 0.302 0.462
O1 0.054 0.082 0.892
O2 0.079 0.097 0.214
O3 0.093 0.392 0.138
O4 0.218 0.083 0.671
O5 0.232 0.448 0.034
O6 0.238 0.228 0.167
```

Largest 12 diffraction maxima, low angle first, 10° ≤ 2θ ≤ 90°:
2θ/deg	d (Å)	I (rel.)	(hkl)
10.9	8.094	100.0	1 1 0
13.9	6.369	43.8	2 0 0
16.8	5.288	70.7	1 1 1
16.9	5.242	32.0	0 2 0
26.5	3.367	33.0	2 2 1
28.0	3.186	16.0	3 1 1
28.2	3.165	51.6	4 0 -2
29.2	3.062	26.8	2 0 2
29.4	3.035	48.1	1 3 1
32.4	2.764	15.4	3 3 -1
33.9	2.644	18.9	2 2 2
34.1	2.630	18.0	2 2 -3



Record 3
This entry pairs a crystal structure of NdPb4F11 with its calculated powder X-ray diffraction pattern. Radiation: CuKα. Structure: DFT lattice parameters and positions (PBE).
Neutral-atom scattering factors, no anomalous dispersion.

```
data_NdPb4F11
_cell_length_a 7.116
_cell_length_b 4.225
_cell_length_c 17.649
_cell_angle_alpha 90.00
_cell_angle_beta 97.51
_cell_angle_gamma 90.00
_symmetry_space_group_name_H-M 'C 1 m 1'
_symmetry_Int_Tables_number 8
_symmetry_space_group_name_Hall 'C -2y'
loop_
_atom_site_label
_atom_site_fract_x
_atom_site_fract_y
_atom_site_fract_z
Nd1 0.000 0.000 0.000
Pb1 0.103 0.500 0.796
Pb2 0.213 0.000 0.592
Pb3 0.333 0.500 0.391
Pb4 0.440 0.000 0.190
F1 0.063 0.500 0.642
F2 0.078 0.000 0.139
F3 0.148 0.500 0.933
F4 0.183 0.000 0.442
F5 0.218 0.500 0.072
F6 0.251 0.000 0.746
F7 0.287 0.500 0.245
F8 0.343 0.000 0.003
F9 0.364 0.500 0.540
F10 0.457 0.500 0.858
F11 0.481 0.000 0.336
```

Largest 12 diffraction maxima, low angle first, 10° ≤ 2θ ≤ 90°:
2θ/deg	d (Å)	I (rel.)	(hkl)
25.5	3.499	53.4	0 0 5
26.0	3.431	100.0	1 1 -2
26.4	3.374	47.6	2 0 1
29.9	2.990	50.1	1 1 3
30.4	2.940	21.8	2 0 -4
42.5	2.126	38.9	1 1 -7
42.8	2.114	41.2	0 2 0
43.8	2.068	36.2	3 1 -1
50.1	1.819	18.8	1 1 8
50.5	1.807	25.1	0 2 5
51.0	1.790	16.4	2 2 1
51.2	1.783	15.6	3 1 4